Entry 1:
# MgTi2Nb2Cu3O12
Calculated powder diffraction line list, Cu Kα (λ = 1.5418 Å). Input: a cell relaxed with GGA-PBE.
Intensities are scaled so that the largest is 100.

Cell and atoms:
Lattice parameters (Å, degrees): 6.5538 6.5538 7.5645 125.20 125.20 70.67
Positions (direct):
Mg 0.0000 0.0000 0.0000
Ti 0.0000 0.5000 0.0000
Ti 0.5000 0.0000 0.0000
Nb 0.0000 0.5000 0.5000
Nb 0.5000 0.0000 0.5000
Cu 0.0000 0.0000 0.5000
Cu 0.5000 0.5000 0.0000
Cu 0.5000 0.5000 0.5000
O 0.1202 0.4752 0.2959
O 0.1749 0.1749 0.4743
O 0.1793 0.1793 0.8832
O 0.2957 0.7006 0.1757
O 0.2994 0.7043 0.8243
O 0.4752 0.1202 0.2959
O 0.5248 0.8798 0.7041
O 0.7006 0.2957 0.1757
O 0.7043 0.2994 0.8243
O 0.8207 0.8207 0.1168
O 0.8251 0.8251 0.5257
O 0.8798 0.5248 0.7041

Peak list (10 most intense, 2θ from 5° to 70°, by intensity)
2θ/deg  Rel. int.
33.5  100
59.8  33
48.1  19
59.9  16
16.6  12
28.9  10
48.0  10
37.6  7
44.8  6
23.5  5

---

Entry 2:
# MgTi3NbCu3O12
Calculated powder diffraction line list, Cu Kα (λ = 1.5418 Å). Input: a cell relaxed with GGA-PBE.
Intensities are scaled so that the largest is 100.

Cell and atoms:
Lattice parameters (Å, degrees): 6.5147 6.6103 6.7244 109.62 110.95 105.97
Positions (direct):
Mg 0.0000 0.0000 0.0000
Ti 0.3483 0.4348 0.3396
Ti 0.4110 0.9785 0.8459
Ti 0.8580 0.8901 0.2994
Nb 0.8945 0.4292 0.7996
Cu 0.3750 0.9369 0.3160
Cu 0.3777 0.4286 0.8160
Cu 0.7267 0.8329 0.5823
O 0.0054 0.7552 0.1197
O 0.0568 0.9263 0.6175
O 0.0725 0.3310 0.0327
O 0.1771 0.2429 0.4201
O 0.1781 0.6015 0.7978
O 0.3615 0.1116 0.1205
O 0.3821 0.7554 0.5093
O 0.5664 0.2466 0.8311
O 0.5786 0.6219 0.1887
O 0.6773 0.5398 0.6217
O 0.6888 0.9479 0.0213
O 0.7448 0.1159 0.5041

Peak list (10 most intense, 2θ from 5° to 70°, by intensity)
2θ/deg  Rel. int.
32.9  100
16.3  74
32.2  46
34.2  42
45.9  32
27.8  31
23.7  20
43.9  20
28.5  16
28.2  16

---

Entry 3:
# Rb4MgNb2Cu2S8
Calculated powder diffraction line list, Cu Kα (λ = 1.5418 Å). Input: a cell relaxed with GGA-PBE.
Intensities are scaled so that the largest is 100.

Cell and atoms:
Lattice parameters (Å, degrees): 5.7075 7.3557 12.5546 85.20 76.87 68.28
Positions (direct):
Rb 0.0000 0.0000 0.0000
Rb 0.1308 0.5003 0.7373
Rb 0.3556 0.0002 0.2886
Rb 0.7565 0.5000 0.4869
Mg 0.5564 0.4991 0.8876
Nb 0.1772 0.9999 0.6455
Nb 0.9287 0.5001 0.1419
Cu 0.4287 0.4994 0.1421
Cu 0.6802 0.0000 0.6393
S 0.0313 0.6954 0.2450
S 0.0784 0.8125 0.5346
S 0.3214 0.3253 0.0175
S 0.3863 0.1878 0.5348
S 0.4625 0.7902 0.7549
S 0.6606 0.6741 0.0173
S 0.7233 0.3050 0.2452
S 0.7825 0.2095 0.7550

Peak list (10 most intense, 2θ from 5° to 70°, by intensity)
2θ/deg  Rel. int.
25.5  100
14.5  55
38.5  53
31.3  41
27.1  38
14.9  37
26.1  36
45.6  34
34.3  28
33.8  25

---

Entry 4:
# Rb4MgNb2Cu2S8
Calculated powder diffraction line list, Cu Kα (λ = 1.5418 Å). Input: a cell relaxed with GGA-PBE.
Intensities are scaled so that the largest is 100.

Cell and atoms:
Lattice parameters (Å, degrees): 5.6416 7.5499 12.4242 88.51 79.22 69.87
Positions (direct):
Rb 0.0000 0.0000 0.0000
Rb 0.1152 0.5706 0.7426
Rb 0.3300 0.0417 0.2864
Rb 0.7219 0.5645 0.4791
Mg 0.6181 0.4630 0.9289
Nb 0.1456 0.0656 0.6409
Nb 0.8903 0.5267 0.1324
Cu 0.3732 0.5466 0.1538
Cu 0.6500 0.0564 0.6360
S 0.0433 0.8699 0.5302
S 0.2892 0.3412 0.0235
S 0.3529 0.2446 0.5338
S 0.4340 0.8767 0.7447
S 0.5811 0.7391 0.0361
S 0.6871 0.3520 0.2439
S 0.7651 0.2682 0.7538
S 0.9787 0.7429 0.2386

Peak list (10 most intense, 2θ from 5° to 70°, by intensity)
2θ/deg  Rel. int.
14.5  100
25.7  86
25.1  75
24.8  73
30.2  54
26.5  48
38.1  45
33.9  41
39.7  41
27.9  41

---

Entry 5:
# NdMg2Cu9
Calculated powder diffraction line list, Cu Kα (λ = 1.5418 Å). Input: a cell relaxed with GGA-PBE.
Intensities are scaled so that the largest is 100.

Cell and atoms:
Lattice parameters (Å, degrees): 5.0501 5.0501 16.1713 90.00 90.00 120.00
Positions (direct):
Nd 0.3333 0.6667 0.2500
Nd 0.6667 0.3333 0.7500
Mg 0.3333 0.6667 0.0317
Mg 0.3333 0.6667 0.4683
Mg 0.6667 0.3333 0.5317
Mg 0.6667 0.3333 0.9683
Cu 0.0000 0.0000 0.0000
Cu 0.0000 0.0000 0.2500
Cu 0.0000 0.0000 0.5000
Cu 0.0000 0.0000 0.7500
Cu 0.1682 0.3363 0.6223
Cu 0.1682 0.3363 0.8777
Cu 0.1682 0.8318 0.6223
Cu 0.1682 0.8318 0.8777
Cu 0.3333 0.6667 0.7500
Cu 0.3363 0.1682 0.1223
Cu 0.3363 0.1682 0.3777
Cu 0.6637 0.8318 0.6223
Cu 0.6637 0.8318 0.8777
Cu 0.6667 0.3333 0.2500
Cu 0.8318 0.1682 0.1223
Cu 0.8318 0.1682 0.3777
Cu 0.8318 0.6637 0.1223
Cu 0.8318 0.6637 0.3777

Peak list (10 most intense, 2θ from 5° to 70°, by intensity)
2θ/deg  Rel. int.
42.2  100
41.7  39
10.9  35
44.8  29
26.2  22
68.4  22
34.5  21
35.6  21
44.7  15
37.3  15

---

Entry 6:
# Nd2MgCu4O8
Calculated powder diffraction line list, Cu Kα (λ = 1.5418 Å). Input: a cell relaxed with GGA-PBE.
Intensities are scaled so that the largest is 100.

Cell and atoms:
Lattice parameters (Å, degrees): 7.1036 7.1036 5.7796 113.96 113.96 109.82
Positions (direct):
Nd 0.0000 0.0000 0.0000
Nd 0.7498 0.2502 0.5000
Mg 0.5001 0.4999 0.0000
Cu 0.3116 0.6412 0.2510
Cu 0.3588 0.6884 0.7490
Cu 0.3899 0.0605 0.7016
Cu 0.9395 0.6101 0.2984
O 0.0259 0.6559 0.0537
O 0.0285 0.3982 0.3723
O 0.1511 0.3061 0.8994
O 0.3441 0.9741 0.9463
O 0.4068 0.2522 0.5579
O 0.6018 0.9715 0.6277
O 0.6939 0.8489 0.1006
O 0.7478 0.5932 0.4421

Peak list (10 most intense, 2θ from 5° to 70°, by intensity)
2θ/deg  Rel. int.
26.7  100
35.6  91
27.7  49
44.2  38
52.5  30
41.9  28
54.9  23
53.1  21
34.7  21
42.0  15

---

Entry 7:
# Mg6CuNi
Calculated powder diffraction line list, Cu Kα (λ = 1.5418 Å). Input: a cell relaxed with GGA-PBE.
Intensities are scaled so that the largest is 100.

Cell and atoms:
Lattice parameters (Å, degrees): 4.7920 5.9125 5.9125 59.77 90.00 90.00
Positions (direct):
Mg 0.0000 0.0000 0.0000
Mg 0.0000 0.0230 0.4948
Mg 0.0000 0.4948 0.0230
Mg 0.5000 0.3338 0.8132
Mg 0.5000 0.8132 0.3338
Mg 0.5000 0.8300 0.8300
Cu 0.0000 0.4983 0.4983
Ni 0.5000 0.3281 0.3281

Peak list (10 most intense, 2θ from 5° to 70°, by intensity)
2θ/deg  Rel. int.
40.0  100
17.3  43
39.9  41
37.5  38
69.4  25
52.3  21
25.5  19
35.1  19
35.0  16
62.9  15

---

Entry 8:
# Mg14CuNi
Calculated powder diffraction line list, Cu Kα (λ = 1.5418 Å). Input: a cell relaxed with GGA-PBE.
Intensities are scaled so that the largest is 100.

Cell and atoms:
Lattice parameters (Å, degrees): 6.2597 6.2597 9.6325 90.00 90.00 120.00
Positions (direct):
Mg 0.0000 0.0000 0.2485
Mg 0.0000 0.0000 0.7515
Mg 0.0176 0.5088 0.2516
Mg 0.0176 0.5088 0.7484
Mg 0.3321 0.1661 0.0000
Mg 0.3322 0.1661 0.5000
Mg 0.4912 0.5088 0.2516
Mg 0.4912 0.5088 0.7484
Mg 0.4912 0.9824 0.2516
Mg 0.4912 0.9824 0.7484
Mg 0.8339 0.1661 0.0000
Mg 0.8339 0.1661 0.5000
Mg 0.8339 0.6679 0.0000
Mg 0.8339 0.6678 0.5000
Cu 0.3333 0.6667 0.0000
Ni 0.3333 0.6667 0.5000

Peak list (10 most intense, 2θ from 5° to 70°, by intensity)
2θ/deg  Rel. int.
38.1  100
33.0  27
37.3  23
16.4  19
59.0  17
67.9  17
50.7  15
24.7  9
48.3  6
34.2  5

---

Entry 9:
# Mg14CuNi
Calculated powder diffraction line list, Cu Kα (λ = 1.5418 Å). Input: a cell relaxed with GGA-PBE.
Intensities are scaled so that the largest is 100.

Cell and atoms:
Lattice parameters (Å, degrees): 9.6220 6.2826 6.2826 61.16 90.00 90.00
Positions (direct):
Mg 0.0000 0.0000 0.0000
Mg 0.0000 0.0080 0.5053
Mg 0.0000 0.5000 0.5000
Mg 0.0000 0.5053 0.0080
Mg 0.2491 0.6718 0.6718
Mg 0.2530 0.1698 0.1698
Mg 0.2871 0.1775 0.6842
Mg 0.2871 0.6842 0.1775
Mg 0.5000 0.4741 0.9764
Mg 0.5000 0.9764 0.4741
Mg 0.7129 0.1775 0.6842
Mg 0.7129 0.6842 0.1775
Mg 0.7470 0.1698 0.1698
Mg 0.7509 0.6718 0.6718
Cu 0.5000 0.5179 0.5179
Ni 0.5000 0.0196 0.0196

Peak list (10 most intense, 2θ from 5° to 70°, by intensity)
2θ/deg  Rel. int.
37.7  100
9.2  45
38.2  42
32.5  30
37.4  30
58.8  17
18.8  17
50.4  16
33.1  13
16.4  13

---

Entry 10:
# Mg6CuNi
Calculated powder diffraction line list, Cu Kα (λ = 1.5418 Å). Input: a cell relaxed with GGA-PBE.
Intensities are scaled so that the largest is 100.

Cell and atoms:
Lattice parameters (Å, degrees): 4.7247 5.9683 5.9683 61.87 90.00 90.00
Positions (direct):
Mg 0.0000 0.0000 0.0000
Mg 0.0000 0.4814 0.9894
Mg 0.0000 0.4977 0.4977
Mg 0.0000 0.9894 0.4814
Mg 0.5000 0.1597 0.6612
Mg 0.5000 0.6612 0.1597
Cu 0.5000 0.6587 0.6587
Ni 0.5000 0.1588 0.1588

Peak list (10 most intense, 2θ from 5° to 70°, by intensity)
2θ/deg  Rel. int.
39.2  100
40.1  46
38.1  35
34.1  30
17.3  25
18.8  17
52.0  17
69.6  17
62.3  15
35.1  14

---

Entry 11:
# Mg4CuNi
Calculated powder diffraction line list, Cu Kα (λ = 1.5418 Å). Input: a cell relaxed with GGA-PBE.
Intensities are scaled so that the largest is 100.

Cell and atoms:
Lattice parameters (Å, degrees): 5.2758 5.2758 13.2299 90.00 90.00 120.00
Positions (direct):
Mg 0.0000 0.5000 0.0504
Mg 0.0000 0.5000 0.2829
Mg 0.1610 0.3220 0.5000
Mg 0.1610 0.8390 0.8333
Mg 0.3220 0.1610 0.1667
Mg 0.5000 0.0000 0.3837
Mg 0.5000 0.0000 0.6163
Mg 0.5000 0.5000 0.7171
Mg 0.5000 0.5000 0.9496
Mg 0.6780 0.8390 0.1667
Mg 0.8390 0.1610 0.8333
Mg 0.8390 0.6780 0.5000
Cu 0.0000 0.5000 0.6667
Cu 0.5000 0.0000 0.0000
Cu 0.5000 0.5000 0.3333
Ni 0.0000 0.0000 0.0000
Ni 0.0000 0.0000 0.3333
Ni 0.0000 0.0000 0.6667

Peak list (10 most intense, 2θ from 5° to 70°, by intensity)
2θ/deg  Rel. int.
44.7  100
39.4  86
20.1  49
36.7  35
20.6  30
40.9  17
23.7  17
19.4  16
64.4  15
66.8  11

---

Entry 12:
# MgCu2O2
Calculated powder diffraction line list, Cu Kα (λ = 1.5418 Å). Input: a cell relaxed with GGA-PBE.
Intensities are scaled so that the largest is 100.

Cell and atoms:
Lattice parameters (Å, degrees): 3.0967 4.5271 5.7615 79.88 82.59 88.18
Positions (direct):
Mg 0.0000 0.0000 0.0000
Cu 0.5000 0.0000 0.5000
Cu 0.5000 0.5000 0.0000
O 0.4486 0.1304 0.1866
O 0.5514 0.8696 0.8134

Peak list (10 most intense, 2θ from 5° to 70°, by intensity)
2θ/deg  Rel. int.
23.2  100
29.1  75
35.7  57
31.8  55
39.3  53
40.5  37
39.1  27
15.7  26
27.6  26
41.9  25